No. 1
Computed powder XRD pattern
Compound: NaSr3GdP3O12F
Radiation: Cu Kα X-rays
Structure: a structure optimized by DFT (GGA-PBE)
Intensities are scaled so that the largest is 100.

Structure:
Cell: 9.6729 9.6729 7.1992 Å, 90.00 90.00 120.00°
Space group P-3 (No. 147)
Inequivalent atoms, fractional coordinates:
Na (0.3333, 0.6667, 0.0230) (multiplicity 2)
Sr (0.0189, 0.7609, 0.2399) (multiplicity 6)
Gd (0.3333, 0.6667, 0.5240) (multiplicity 2)
P (0.0301, 0.6249, 0.7397) (multiplicity 6)
O (0.0448, 0.7412, 0.8962) (multiplicity 6)
O (0.1056, 0.7270, 0.5604) (multiplicity 6)
O (0.1303, 0.5424, 0.7774) (multiplicity 6)
O (0.1493, 0.5012, 0.2848) (multiplicity 6)
F (0.0000, 0.0000, 0.2852) (multiplicity 2)

Most intense lines, 2θ from 15° to 90°, by angle:
d_spacing  Position (°2θ)  Rel. int.  index
5.460  16.23  34  1 0 1
4.015  22.14  54  2 -1 1
3.307  26.96  32  1 0 2
3.166  28.18  36  1 2 0
2.898  30.85  100  1 2 1
2.888  30.97  69  1 1 2
2.792  32.05  55  3 0 0
2.008  45.16  35  2 2 2
1.952  46.52  31  4 -3 2
1.912  47.54  45  3 -1 3


No. 2
Computed powder XRD pattern
Compound: Cs3ThCl7
Radiation: Cu Kα X-rays
Structure: a structure optimized by DFT (GGA-PBE)
Intensities are scaled so that the largest is 100.

Structure:
Cell: 11.7665 10.9157 8.8471 Å, 90.00 128.07 90.00°
Space group Cm (No. 8)
Inequivalent atoms, fractional coordinates:
Cs (0.0000, 0.0000, 0.0000) (multiplicity 2)
Cs (0.0076, 0.2712, 0.5732) (multiplicity 4)
Th (0.0532, 0.5000, 0.1242) (multiplicity 2)
Cl (0.1178, 0.2639, 0.2796) (multiplicity 4)
Cl (0.1971, 0.5000, 0.9727) (multiplicity 2)
Cl (0.3363, 0.5000, 0.4879) (multiplicity 2)
Cl (0.3662, 0.1569, 0.8230) (multiplicity 4)
Cl (0.3744, 0.0000, 0.2248) (multiplicity 2)

Most intense lines, 2θ from 15° to 90°, by angle:
d_spacing  Position (°2θ)  Rel. int.  index
4.632  19.16  49  2 0 0
4.360  20.37  49  2 0 -2
4.296  20.68  100  0 2 1
3.998  22.24  47  2 2 -1
2.936  30.45  33  4 0 -2
2.729  32.82  23  0 4 0
2.682  33.41  38  2 2 1
2.573  34.87  23  2 2 -3
2.468  36.41  24  4 2 -1
2.382  37.76  25  4 2 -3


No. 3
Computed powder XRD pattern
Compound: Ac8HgIr4
Radiation: Cu Kα X-rays
Structure: a structure optimized by DFT (GGA-PBE)
Intensities are scaled so that the largest is 100.

Structure:
Cell: 21.0100 4.4184 13.9842 Å, 90.00 130.27 90.00°
Space group Cm (No. 8)
Inequivalent atoms, fractional coordinates:
Ac (0.0000, 0.0000, 0.0000) (multiplicity 2)
Ac (0.0419, 0.0000, 0.7569) (multiplicity 2)
Ac (0.1271, 0.5000, 0.5837) (multiplicity 2)
Ac (0.2076, 0.5000, 0.0883) (multiplicity 2)
Ac (0.2939, 0.0000, 0.9205) (multiplicity 2)
Ac (0.3366, 0.0000, 0.6808) (multiplicity 2)
Ac (0.3843, 0.0000, 0.4193) (multiplicity 2)
Ac (0.4540, 0.5000, 0.2583) (multiplicity 2)
Hg (0.1092, 0.5000, 0.2945) (multiplicity 2)
Ir (0.0087, 0.0000, 0.5145) (multiplicity 2)
Ir (0.0232, 0.5000, 0.8801) (multiplicity 2)
Ir (0.3120, 0.5000, 0.7969) (multiplicity 2)
Ir (0.3263, 0.0000, 0.1622) (multiplicity 2)

Most intense lines, 2θ from 15° to 90°, by angle:
d_spacing  Position (°2θ)  Rel. int.  index
3.405  26.17  100  3 1 0
3.234  27.59  63  2 0 -4
3.206  27.83  96  3 1 -3
3.142  28.40  47  4 0 1
2.893  30.91  48  5 1 -1
2.693  33.27  60  5 1 -4
2.417  37.20  40  7 1 -2
2.252  40.04  39  8 0 -1
2.209  40.85  53  0 2 0
2.104  42.99  80  1 1 4


No. 4
Computed powder XRD pattern
Compound: NdErTm2Th
Radiation: Cu Kα X-rays
Structure: a structure optimized by DFT (GGA-PBE)
Intensities are scaled so that the largest is 100.

Structure:
Cell: 3.5243 5.5902 8.6453 Å, 90.00 90.00 90.00°
Space group Pmmm (No. 47)
Inequivalent atoms, fractional coordinates:
Nd (0.0000, 0.0000, 0.0000) (multiplicity 1)
Er (0.5000, 0.0000, 0.5000) (multiplicity 1)
Tm (0.0000, 0.5000, 0.3223) (multiplicity 2)
Th (0.5000, 0.5000, 0.0000) (multiplicity 1)

Most intense lines, 2θ from 15° to 90°, by angle:
d_spacing  Position (°2θ)  Rel. int.  index
5.590  15.85  17  0 1 0
4.323  20.55  17  0 0 2
2.882  31.03  16  0 0 3
2.818  31.75  100  1 1 1
2.795  32.02  40  0 2 0
2.732  32.79  20  1 0 2
2.561  35.03  27  0 1 3
2.454  36.62  25  1 1 2
1.618  56.90  19  1 3 1
1.496  62.05  20  1 1 5


No. 5
Computed powder XRD pattern
Compound: U6Pt23
Radiation: Cu Kα X-rays
Structure: a structure optimized by DFT (GGA-PBE)
Intensities are scaled so that the largest is 100.

Structure:
Cell: 8.0599 8.0599 16.6269 Å, 90.00 90.00 90.00°
Space group I4/mmm (No. 139)
Inequivalent atoms, fractional coordinates:
U (0.0000, 0.0000, 0.2476) (multiplicity 4)
U (0.2406, 0.2406, 0.5000) (multiplicity 8)
Pt (0.0000, 0.0000, 0.0000) (multiplicity 2)
Pt (0.0000, 0.2512, 0.3739) (multiplicity 16)
Pt (0.0000, 0.2523, 0.1240) (multiplicity 16)
Pt (0.0000, 0.5000, 0.0000) (multiplicity 4)
Pt (0.2500, 0.2500, 0.2500) (multiplicity 8)

Most intense lines, 2θ from 15° to 90°, by angle:
d_spacing  Position (°2θ)  Rel. int.  index
4.701  18.88  7  1 1 2
2.437  36.89  3  3 1 2
2.350  38.30  100  2 2 4
2.078  43.55  18  0 0 8
2.015  44.99  32  4 0 0
1.447  64.40  23  4 0 8
1.425  65.51  11  4 4 0
1.246  76.44  14  2 2 12
1.218  78.50  26  6 2 4
1.175  81.99  12  4 4 8


No. 6
Computed powder XRD pattern
Compound: U4Al18Ni5
Radiation: Cu Kα X-rays
Structure: a structure optimized by DFT (GGA-PBE)
Intensities are scaled so that the largest is 100.

Structure:
Cell: 15.5902 4.0341 16.0812 Å, 90.00 117.26 90.00°
Space group Cm (No. 8)
Inequivalent atoms, fractional coordinates:
U (0.0000, 0.0000, 0.0000) (multiplicity 2)
U (0.0364, 0.5000, 0.6749) (multiplicity 2)
U (0.2108, 0.0000, 0.4475) (multiplicity 2)
U (0.3310, 0.0000, 0.2259) (multiplicity 2)
Al (0.0633, 0.0000, 0.5483) (multiplicity 2)
Al (0.0687, 0.5000, 0.3144) (multiplicity 2)
Al (0.0707, 0.5000, 0.8962) (multiplicity 2)
Al (0.1388, 0.0000, 0.2251) (multiplicity 2)
Al (0.1654, 0.5000, 0.1150) (multiplicity 2)
Al (0.1952, 0.0000, 0.7355) (multiplicity 2)
Al (0.1986, 0.0000, 0.0142) (multiplicity 2)
Al (0.2044, 0.5000, 0.5954) (multiplicity 2)
Al (0.2449, 0.5000, 0.8825) (multiplicity 2)
Al (0.2718, 0.5000, 0.3381) (multiplicity 2)
Al (0.3331, 0.0000, 0.6680) (multiplicity 2)
Al (0.3393, 0.5000, 0.0792) (multiplicity 2)
Al (0.3729, 0.5000, 0.5610) (multiplicity 2)
Al (0.3792, 0.0000, 0.8564) (multiplicity 2)
Al (0.4031, 0.0000, 0.4523) (multiplicity 2)
Al (0.4552, 0.5000, 0.7704) (multiplicity 2)
Al (0.4729, 0.5000, 0.3641) (multiplicity 2)
Al (0.4813, 0.0000, 0.1308) (multiplicity 2)
Ni (0.0559, 0.5000, 0.4579) (multiplicity 2)
Ni (0.1269, 0.0000, 0.8480) (multiplicity 2)
Ni (0.2978, 0.5000, 0.7621) (multiplicity 2)
Ni (0.3344, 0.0000, 0.9856) (multiplicity 2)
Ni (0.4874, 0.5000, 0.2221) (multiplicity 2)

Most intense lines, 2θ from 15° to 90°, by angle:
d_spacing  Position (°2θ)  Rel. int.  index
5.347  16.58  62  2 0 1
5.190  17.08  79  2 0 -3
3.868  23.00  86  1 1 -1
3.574  24.92  39  0 0 4
2.805  31.90  63  3 1 1
2.762  32.42  58  3 1 -4
2.473  36.32  58  1 1 4
2.463  36.48  66  5 1 -2
2.454  36.61  100  1 1 -5
2.017  44.94  50  0 2 0


No. 7
Computed powder XRD pattern
Compound: TmPu2O6
Radiation: Cu Kα X-rays
Structure: a structure optimized by DFT (GGA-PBE)
Intensities are scaled so that the largest is 100.

Structure:
Cell: 3.8067 3.8067 9.0623 Å, 90.00 90.00 120.00°
Space group P-3m1 (No. 164)
Inequivalent atoms, fractional coordinates:
Tm (0.0000, 0.0000, 0.0000) (multiplicity 1)
Pu (0.3333, 0.6667, 0.6692) (multiplicity 2)
O (0.0000, 0.0000, 0.2595) (multiplicity 2)
O (0.3333, 0.6667, 0.4165) (multiplicity 2)
O (0.3333, 0.6667, 0.9077) (multiplicity 2)

Most intense lines, 2θ from 15° to 90°, by angle:
d_spacing  Position (°2θ)  Rel. int.  index
3.098  28.82  100  1 0 1
3.021  29.57  31  0 0 3
2.666  33.62  47  0 1 2
1.903  47.79  33  1 1 0
1.867  48.77  31  1 0 4
1.622  56.77  16  0 2 1
1.610  57.20  30  1 1 3
1.588  58.08  14  0 1 5
1.234  77.29  13  2 1 1
1.092  89.84  11  2 1 4